Structure and computed XRD peak list of Pm5SmMg3 (a cell relaxed with GGA-PBE; Cu Kα).
Neutral-atom scattering factors, no anomalous dispersion.

Structure:
```
Pm5SmMg3
1.0
9.5880 0.0000 0.0000
-4.7940 8.3035 0.0000
0.0000 0.0000 7.0476
Pm Sm Mg
10 2 6
Cartesian
-1.5971 2.7663 1.7619
-3.1969 5.5372 5.2857
3.1942 0.0000 1.7619
1.5971 2.7663 5.2857
0.0000 5.5357 0.0000
0.0000 5.5357 3.5238
6.3938 0.0000 5.2857
4.7940 2.7678 0.0000
4.7940 2.7678 3.5238
3.1969 5.5372 1.7619
0.0000 0.0000 0.0000
0.0000 0.0000 3.5238
-1.5951 2.7627 5.2857
-3.1990 5.5408 1.7619
3.1901 0.0000 5.2857
1.5951 2.7627 1.7619
6.3979 0.0000 1.7619
3.1990 5.5408 5.2857
```

Most intense lines, 2θ = 15–90°, by intensity:
31.5 deg, d = 2.839 Å, intensity 100; 32.3 deg, d = 2.768 Å, intensity 87; 22.4 deg, d = 3.964 Å, intensity 47; 57.2 deg, d = 1.611 Å, intensity 37; 45.8 deg, d = 1.982 Å, intensity 36; 62.5 deg, d = 1.486 Å, intensity 26; 57.7 deg, d = 1.598 Å, intensity 17; 76.6 deg, d = 1.244 Å, intensity 15; 18.5 deg, d = 4.794 Å, intensity 13; 81.3 deg, d = 1.184 Å, intensity 12



Structure and computed XRD peak list of Rb5Tm3I12 (a cell relaxed with GGA-PBE; Cu Kα).
Neutral-atom scattering factors, no anomalous dispersion.

Structure:
```
Rb5Tm3I12
1.0
15.1379 0.0000 0.0000
-7.5690 13.1098 0.0000
0.0000 0.0000 4.5816
Rb Tm I
5 3 12
Cartesian
-5.4415 9.4249 0.0000
2.1275 3.6849 0.0000
0.0000 8.7399 0.0000
7.5690 4.3699 0.0000
10.8829 0.0000 0.0000
-2.4832 4.3011 2.2908
4.9665 0.0000 2.2908
5.0857 8.8087 2.2908
-1.4356 2.4866 0.0000
-3.5098 6.0792 0.0000
2.8712 0.0000 0.0000
-2.6286 10.0706 2.2908
0.1619 5.7981 2.2908
4.9404 3.0392 2.2908
7.0196 0.0000 0.0000
4.0591 7.0306 0.0000
2.4667 10.3509 2.2908
10.0357 2.7589 2.2908
7.7308 7.3117 2.2908
6.1334 10.6233 0.0000
```

Most intense lines, 2θ = 15–90°, by intensity:
26.5 deg, d = 3.364 Å, intensity 100; 30.6 deg, d = 2.918 Å, intensity 55; 37.0 deg, d = 2.427 Å, intensity 43; 24.5 deg, d = 3.636 Å, intensity 41; 40.8 deg, d = 2.210 Å, intensity 39; 27.2 deg, d = 3.277 Å, intensity 33; 39.3 deg, d = 2.291 Å, intensity 25; 35.6 deg, d = 2.523 Å, intensity 22; 52.7 deg, d = 1.736 Å, intensity 19; 23.7 deg, d = 3.755 Å, intensity 18



Structure and computed XRD peak list of Ce4IrPb2 (a cell relaxed with GGA-PBE; Cu Kα).
Neutral-atom scattering factors, no anomalous dispersion.

Structure:
```
Ce4IrPb2
1.0
6.4034 0.0000 0.0000
0.0000 6.5252 0.0000
-1.7131 0.0000 9.6824
Ce Ir Pb
8 2 4
Cartesian
0.9554 1.6313 0.9352
0.3129 3.4678 7.0817
0.3129 6.3200 7.0817
1.2580 4.8939 3.7902
3.4323 1.6313 5.8922
4.3773 0.2052 2.6007
4.3773 3.0574 2.6007
3.7349 4.8939 8.7472
-0.1767 4.8939 1.5933
4.8670 1.6313 8.0891
0.5414 1.6313 4.2558
2.4119 4.8939 0.4468
2.2783 1.6313 9.2356
4.1488 4.8939 5.4266
```

Most intense lines, 2θ = 15–90°, by intensity:
33.3 deg, d = 2.689 Å, intensity 100; 31.5 deg, d = 2.839 Å, intensity 89; 33.0 deg, d = 2.717 Å, intensity 51; 27.3 deg, d = 3.263 Å, intensity 50; 33.1 deg, d = 2.706 Å, intensity 50; 34.0 deg, d = 2.636 Å, intensity 49; 32.0 deg, d = 2.800 Å, intensity 48; 31.4 deg, d = 2.850 Å, intensity 33; 43.6 deg, d = 2.075 Å, intensity 30; 28.8 deg, d = 3.099 Å, intensity 26



Structure and computed XRD peak list of Zr5W3 (a cell relaxed with GGA-PBE; Cu Kα).
Neutral-atom scattering factors, no anomalous dispersion.

Structure:
```
Zr5W3
1.0
3.4722 -4.8500 0.0000
3.4722 4.8500 0.0000
0.0000 0.0000 4.7068
Zr W
5 3
Cartesian
0.0000 0.0000 0.0000
1.7361 2.4250 0.0000
1.8836 0.0000 2.3534
1.7361 -2.4250 0.0000
5.0609 0.0000 2.3534
3.4722 2.5489 2.3534
3.4722 0.0000 0.0000
3.4722 -2.5489 2.3534
```

Most intense lines, 2θ = 15–90°, by intensity:
37.1 deg, d = 2.422 Å, intensity 100; 38.2 deg, d = 2.353 Å, intensity 19; 68.4 deg, d = 1.371 Å, intensity 13; 54.3 deg, d = 1.689 Å, intensity 13; 66.9 deg, d = 1.399 Å, intensity 13; 52.7 deg, d = 1.736 Å, intensity 8; 79.1 deg, d = 1.211 Å, intensity 8; 67.0 deg, d = 1.397 Å, intensity 7; 66.2 deg, d = 1.412 Å, intensity 7; 26.4 deg, d = 3.378 Å, intensity 6



Structure and computed XRD peak list of Tb4Tl2Cd5 (a cell relaxed with GGA-PBE; Cu Kα).
Neutral-atom scattering factors, no anomalous dispersion.

Structure:
```
Tb4Tl2Cd5
1.0
7.9956 0.0000 0.0000
0.0000 3.5473 0.0000
-1.0484 0.0000 10.2447
Tb Tl Cd
4 2 5
Cartesian
0.9498 0.0000 4.0134
1.2373 0.0000 9.6208
5.7099 0.0000 0.6238
5.9974 0.0000 6.2312
0.3954 1.7736 1.4416
6.5519 1.7736 8.8030
0.8354 1.7736 6.7446
3.3771 1.7736 2.1043
3.4736 1.7736 5.1223
3.5701 1.7736 8.1404
6.1119 1.7736 3.5000
```

Most intense lines, 2θ = 15–90°, by intensity:
35.7 deg, d = 2.514 Å, intensity 100; 33.3 deg, d = 2.688 Å, intensity 94; 33.9 deg, d = 2.648 Å, intensity 94; 32.1 deg, d = 2.791 Å, intensity 92; 34.1 deg, d = 2.633 Å, intensity 92; 36.4 deg, d = 2.470 Å, intensity 88; 36.5 deg, d = 2.460 Å, intensity 63; 37.2 deg, d = 2.420 Å, intensity 51; 51.5 deg, d = 1.774 Å, intensity 45; 30.7 deg, d = 2.916 Å, intensity 42



Structure and computed XRD peak list of Ac3Pm2Sm3 (a cell relaxed with GGA-PBE; Cu Kα).
Neutral-atom scattering factors, no anomalous dispersion.

Structure:
```
Ac3Pm2Sm3
1.0
10.1994 0.0000 0.0000
-5.0997 8.8329 0.0000
0.0000 0.0000 6.8521
Ac Pm Sm
6 4 6
Cartesian
-1.1895 2.0603 1.7130
-3.9102 6.7726 5.1391
2.3791 0.0000 1.7130
1.1895 2.0603 5.1391
7.8203 0.0000 5.1391
3.9102 6.7726 1.7130
0.0000 5.8886 0.0000
0.0000 5.8886 3.4260
5.0997 2.9443 0.0000
5.0997 2.9443 3.4260
-2.1081 3.6513 5.1391
-2.9916 5.1816 1.7130
4.2162 0.0000 5.1391
2.1081 3.6513 1.7130
5.9832 0.0000 1.7130
2.9916 5.1816 5.1391
```

Most intense lines, 2θ = 15–90°, by intensity:
29.8 deg, d = 3.001 Å, intensity 100; 31.5 deg, d = 2.844 Å, intensity 40; 26.7 deg, d = 3.339 Å, intensity 30; 48.3 deg, d = 1.885 Å, intensity 27; 26.0 deg, d = 3.426 Å, intensity 17; 58.8 deg, d = 1.570 Å, intensity 17; 49.1 deg, d = 1.856 Å, intensity 16; 30.4 deg, d = 2.944 Å, intensity 15; 60.8 deg, d = 1.523 Å, intensity 14; 55.7 deg, d = 1.650 Å, intensity 13



Structure and computed XRD peak list of Zn8Ga2Pd3 (a cell relaxed with GGA-PBE; Cu Kα).
Neutral-atom scattering factors, no anomalous dispersion.

Structure:
```
Zn8Ga2Pd3
1.0
2.5019 1.4445 9.5010
-2.5019 1.4445 9.5010
0.0000 -2.8890 9.5010
Zn Ga Pd
8 2 3
Cartesian
0.0000 0.0000 6.4214
0.0000 -1.4437 11.1572
-1.2503 0.7219 11.1572
-1.2503 -0.7219 17.3457
1.2503 0.7219 11.1571
1.2503 -0.7219 17.3457
0.0000 1.4437 17.3457
0.0000 0.0000 22.0815
0.0000 0.0000 3.9958
0.0000 0.0000 24.5070
0.0000 0.0000 8.9379
0.0000 0.0000 14.2514
0.0000 0.0000 19.5650
```

Most intense lines, 2θ = 15–90°, by intensity:
40.6 deg, d = 2.224 Å, intensity 100; 42.2 deg, d = 2.142 Å, intensity 62; 35.9 deg, d = 2.502 Å, intensity 58; 40.8 deg, d = 2.214 Å, intensity 43; 44.7 deg, d = 2.025 Å, intensity 42; 67.7 deg, d = 1.384 Å, intensity 42; 76.1 deg, d = 1.251 Å, intensity 29; 43.7 deg, d = 2.073 Å, intensity 27; 46.4 deg, d = 1.956 Å, intensity 20; 90.0 deg, d = 1.090 Å, intensity 19



Structure and computed XRD peak list of Li4Br3F (a cell relaxed with GGA-PBE; Cu Kα).
Neutral-atom scattering factors, no anomalous dispersion.

Structure:
```
Li4Br3F
1.0
-2.9977 4.2807 3.2677
2.9977 -4.2807 3.2677
2.9977 4.2807 -3.2677
Li Br F
4 3 1
Cartesian
0.0000 1.7280 0.0000
1.3763 4.2807 -1.4414
1.6214 0.0000 1.8264
0.0000 6.8333 0.0000
2.9977 1.9657 0.7803
0.0000 4.2807 0.6766
0.0000 2.3150 4.0480
0.0000 0.0000 0.8777
```

Most intense lines, 2θ = 15–90°, by intensity:
29.0 deg, d = 3.074 Å, intensity 100; 27.3 deg, d = 3.268 Å, intensity 31; 29.8 deg, d = 2.998 Å, intensity 26; 49.3 deg, d = 1.847 Å, intensity 23; 40.9 deg, d = 2.209 Å, intensity 22; 52.4 deg, d = 1.745 Å, intensity 18; 18.1 deg, d = 4.911 Å, intensity 16; 60.2 deg, d = 1.537 Å, intensity 11; 42.2 deg, d = 2.140 Å, intensity 9; 51.0 deg, d = 1.790 Å, intensity 9



Structure and computed XRD peak list of PaHg2I (a cell relaxed with GGA-PBE; Cu Kα).
Neutral-atom scattering factors, no anomalous dispersion.

Structure:
```
PaHg2I
1.0
1.6830 0.9717 12.1639
-1.6830 0.9717 12.1639
0.0000 -1.9433 12.1639
Pa Hg I
1 2 1
Cartesian
0.0000 0.0000 0.0000
0.0000 0.0000 3.1049
0.0000 0.0000 33.3867
0.0000 0.0000 18.2458
```

Most intense lines, 2θ = 15–90°, by intensity:
31.1 deg, d = 2.878 Å, intensity 100; 29.4 deg, d = 3.041 Å, intensity 73; 30.8 deg, d = 2.906 Å, intensity 68; 39.6 deg, d = 2.278 Å, intensity 61; 63.1 deg, d = 1.472 Å, intensity 51; 54.5 deg, d = 1.683 Å, intensity 40; 41.2 deg, d = 2.190 Å, intensity 35; 46.8 deg, d = 1.943 Å, intensity 27; 86.2 deg, d = 1.128 Å, intensity 22; 44.8 deg, d = 2.022 Å, intensity 22



Structure and computed XRD peak list of Ac5BiS4 (a cell relaxed with GGA-PBE; Cu Kα).
Neutral-atom scattering factors, no anomalous dispersion.

Structure:
```
Ac5BiS4
1.0
-2.2082 3.1600 11.0556
2.2082 -3.1600 11.0556
2.2082 3.1600 -11.0556
Ac Bi S
5 1 4
Cartesian
0.0000 0.0000 0.0000
0.0000 0.0000 4.4019
0.0000 0.0000 8.5822
0.0000 0.0000 13.5289
0.0000 0.0000 17.7092
0.0000 3.1600 0.0000
2.2082 0.0000 2.2411
2.2082 0.0000 6.5085
0.0000 3.1600 4.5470
0.0000 3.1600 8.8145
```

Most intense lines, 2θ = 15–90°, by intensity:
28.6 deg, d = 3.125 Å, intensity 100; 24.6 deg, d = 3.622 Å, intensity 79; 40.6 deg, d = 2.222 Å, intensity 78; 28.2 deg, d = 3.160 Å, intensity 54; 50.4 deg, d = 1.811 Å, intensity 41; 40.8 deg, d = 2.210 Å, intensity 37; 48.2 deg, d = 1.886 Å, intensity 24; 74.2 deg, d = 1.278 Å, intensity 23; 66.3 deg, d = 1.410 Å, intensity 19; 66.8 deg, d = 1.401 Å, intensity 16



Structure and computed XRD peak list of CsTm2Cu3Se5 (a cell relaxed with GGA-PBE; Cu Kα).
Neutral-atom scattering factors, no anomalous dispersion.

Structure:
```
CsTm2Cu3Se5
1.0
2.0577 -7.3482 0.0000
2.0577 7.3482 0.0000
0.0000 0.0000 17.2592
Cs Tm Cu Se
2 4 6 10
Cartesian
2.0577 6.4581 12.9444
2.0577 -6.4581 4.3148
2.0577 4.5228 1.5800
2.0577 4.5228 7.0496
2.0577 -4.5228 10.2096
2.0577 -4.5228 15.6792
2.0577 2.3126 12.9444
2.0577 1.2319 0.5477
2.0577 1.2319 8.0819
2.0577 -1.2319 9.1772
2.0577 -1.2319 16.7115
2.0577 -2.3126 4.3148
2.0577 4.8526 9.8353
2.0577 4.8526 16.0535
2.0577 3.8384 4.3148
2.0577 0.9180 10.5668
2.0577 0.9180 15.3220
2.0577 -0.9180 1.9372
2.0577 -0.9180 6.6924
2.0577 -3.8384 12.9444
2.0577 -4.8526 1.2057
2.0577 -4.8526 7.4239
```

Most intense lines, 2θ = 15–90°, by intensity:
28.8 deg, d = 3.100 Å, intensity 100; 31.1 deg, d = 2.877 Å, intensity 90; 30.2 deg, d = 2.960 Å, intensity 77; 46.8 deg, d = 1.942 Å, intensity 73; 35.3 deg, d = 2.545 Å, intensity 68; 44.0 deg, d = 2.058 Å, intensity 68; 28.3 deg, d = 3.151 Å, intensity 67; 37.6 deg, d = 2.392 Å, intensity 61; 24.8 deg, d = 3.596 Å, intensity 50; 49.6 deg, d = 1.838 Å, intensity 42